[1]
Theoretical powder diffraction line list of AcMgCd4Ag2 for Cu Kα, from a structure optimized by DFT (PBE).
Neutral-atom scattering factors, no anomalous dispersion.

Principal peaks in the range 2θ = 10–80°, by angle:
Position (°2θ), Rel. int., (hkl)
21.60, 164, 1 0 1
26.34, 417, 0 1 5
30.39, 190, 1 0 7
32.68, 855, 0 1 8
37.48, 1000, 1 1 0
40.36, 128, 0 1 11
47.14, 114, 1 1 9
50.57, 245, 2 0 8
64.61, 230, 1 2 8
67.63, 169, 3 0 0

Structural model:
Lattice parameters (Å, degrees): 4.7988 4.7988 29.1521 90.00 90.00 120.00
Space group R-3m (No. 166, hexagonal axes)
Unique sites:
Ac 0.0000 0.0000 0.0000 x3
Mg 0.0000 0.0000 0.5000 x3
Cd 0.0000 0.0000 0.1280 x6
Cd 0.0000 0.0000 0.3996 x6
Ag 0.0000 0.0000 0.2351 x6


[2]
Theoretical powder diffraction line list of Ac2Mg3Cd12Ag for Cu Kα, from a structure optimized by DFT (PBE).
Neutral-atom scattering factors, no anomalous dispersion.

Principal peaks in the range 2θ = 10–80°, by angle:
Position (°2θ), Rel. int., (hkl)
27.31, 348, 1 0 10
28.36, 360, 1 1 3
29.18, 223, 0 1 11
30.67, 358, 1 1 6
33.17, 1000, 0 2 4
35.13, 336, 0 1 14
36.71, 786, 2 0 8
39.18, 192, 0 2 10
53.76, 214, 1 2 14
56.87, 358, 2 2 0

Structural model:
Lattice parameters (Å, degrees): 6.4756 6.4756 40.1786 90.00 90.00 120.00
Space group R-3m (No. 166, hexagonal axes)
Unique sites:
Ac 0.0000 0.0000 0.1422 x6
Mg 0.0000 0.5000 0.0000 x9
Cd 0.0035 0.5018 0.8879 x18
Cd 0.0257 0.5128 0.6105 x18
Ag 0.0000 0.0000 0.5000 x3


[3]
Theoretical powder diffraction line list of Ac2Cd3Ag12Sn for Cu Kα, from a structure optimized by DFT (PBE).
Neutral-atom scattering factors, no anomalous dispersion.

Principal peaks in the range 2θ = 10–80°, by angle:
Position (°2θ), Rel. int., (hkl)
28.12, 455, 1 0 10
29.99, 349, 0 1 11
30.13, 509, 1 1 3
32.38, 269, 1 1 6
35.23, 594, 0 2 4
35.91, 391, 0 1 14
38.68, 1000, 2 0 8
41.10, 346, 0 2 10
60.88, 450, 2 2 0
76.17, 221, 0 2 28

Structural model:
Lattice parameters (Å, degrees): 6.0864 6.0864 39.7380 90.00 90.00 120.00
Space group R-3m (No. 166, hexagonal axes)
Unique sites:
Ac 0.0000 0.0000 0.1424 x6
Cd 0.0000 0.5000 0.0000 x9
Ag 0.0064 0.5032 0.8900 x18
Ag 0.0220 0.5110 0.6111 x18
Sn 0.0000 0.0000 0.5000 x3


[4]
Theoretical powder diffraction line list of Ac2TmCd3Ag12 for Cu Kα, from a structure optimized by DFT (PBE).
Neutral-atom scattering factors, no anomalous dispersion.

Principal peaks in the range 2θ = 10–80°, by angle:
Position (°2θ), Rel. int., (hkl)
26.21, 918, 1 1 3
29.16, 332, 2 0 2
30.46, 311, 1 1 6
30.95, 594, 0 2 4
32.93, 371, 1 0 10
35.71, 705, 0 1 11
37.34, 1000, 2 0 8
43.65, 314, 2 1 7
44.37, 610, 0 3 3
50.54, 522, 2 2 0

Structural model:
Lattice parameters (Å, degrees): 7.2232 7.2232 30.2006 90.00 90.00 120.00
Space group R-3m (No. 166, hexagonal axes)
Unique sites:
Ac 0.0000 0.0000 0.1415 x6
Tm 0.0000 0.0000 0.5000 x3
Cd 0.0000 0.5000 0.0000 x9
Ag 0.0381 0.5190 0.8978 x18
Ag 0.0795 0.5397 0.6211 x18


[5]
Theoretical powder diffraction line list of Ac2Zn4Cd3Ag for Cu Kα, from a structure optimized by DFT (PBE).
Neutral-atom scattering factors, no anomalous dispersion.

Principal peaks in the range 2θ = 10–80°, by angle:
Position (°2θ), Rel. int., (hkl)
27.01, 213, 1 1 0
31.18, 714, 1 0 3
31.69, 1000, 1 1 2
38.57, 601, 2 0 0
45.93, 280, 1 0 5
50.41, 376, 2 1 3
55.69, 203, 2 2 0
57.92, 154, 1 1 6
61.48, 233, 2 1 5
65.50, 244, 3 1 2

Structural model:
Lattice parameters (Å, degrees): 4.669 4.669 10.905 90.00 90.00 90.00
Space group P-4m2 (No. 115)
Unique sites:
Ac 0.000 0.500 0.248 x2
Zn 0.000 0.000 0.000 x1
Zn 0.000 0.500 0.629 x2
Zn 0.500 0.500 0.000 x1
Cd 0.000 0.500 0.871 x2
Cd 0.500 0.500 0.500 x1
Ag 0.000 0.000 0.500 x1


[6]
Theoretical powder diffraction line list of Li2AcAgCl8 for Cu Kα, from a structure optimized by DFT (PBE).
Neutral-atom scattering factors, no anomalous dispersion.

Principal peaks in the range 2θ = 10–80°, by angle:
Position (°2θ), Rel. int., (hkl)
16.98, 1000, 1 0 0
27.46, 605, 1 0 2
29.63, 287, 1 1 0
31.57, 387, 1 1 1
34.34, 163, 2 0 0
36.85, 898, 2 -1 2
40.83, 234, 2 0 2
51.25, 236, 3 -1 2
52.57, 224, 3 0 0
53.63, 226, 1 1 4

Structural model:
Lattice parameters (Å, degrees): 6.0305 6.0305 8.2963 90.00 90.00 120.00
Space group P-31m (No. 162)
Unique sites:
Li 0.3333 0.6667 0.0000 x2
Ac 0.0000 0.0000 0.5000 x1
Ag 0.0000 0.0000 0.0000 x1
Cl 0.0000 0.3257 0.1880 x6
Cl 0.3333 0.6667 0.5000 x2